Starting from a structure optimized by DFT (PBE), the powder diffractogram of KAgCO3 was simulated for Cu Kα, 1.54184 Å.
Peak positions follow from Bragg's law for the DFT cell and can differ from measured ones.

Structural model:
```
data_KAgCO3
_cell_length_a 5.6695
_cell_length_b 10.2705
_cell_length_c 5.8535
_cell_angle_alpha 90.00
_cell_angle_beta 90.00
_cell_angle_gamma 90.00
_space_group_name_H-M_alt 'P c c a'
_space_group_IT_number 54
_space_group_name_Hall '-P 2a 2ac'
loop_
_atom_site_label
_atom_site_type_symbol
_atom_site_fract_x
_atom_site_fract_y
_atom_site_fract_z
_atom_site_occupancy
K1 K 0.0000 0.1373 0.2500 1
Ag1 Ag 0.2500 0.5000 0.1323 1
C1 C 0.0000 0.2434 0.7500 1
O1 O 0.0000 0.1184 0.7500 1
O2 O 0.1415 0.3038 0.6097 1
```

Largest 12 diffraction maxima, sorted by position, 2θ = 15–90°:
h k l  2θ/deg  I/Imax
0 2 0  17.3  44
0 3 0  26.0  65
2 1 0  32.8  100
1 0 2  34.5  69
1 1 2  35.6  97
2 2 0  36.2  51
1 2 2  38.8  45
1 3 2  43.7  31
0 5 0  44.1  26
2 4 0  47.8  34
1 4 2  49.9  33
1 5 2  57.1  28